Diffraction record for Na7V2O6. The powder diffraction line list is calculated, not measured: it uses a PBE+U-relaxed structure and CuKα.

The 10 most intense peaks (10 to 90 degrees two-theta), by angle:
| 2theta | d/Å | I (rel.) |
| --- | --- | --- |
| 16.37 | 5.416 | 27 |
| 23.67 | 3.759 | 51 |
| 24.25 | 3.670 | 43 |
| 33.22 | 2.697 | 43 |
| 34.73 | 2.583 | 100 |
| 35.00 | 2.564 | 100 |
| 37.00 | 2.429 | 85 |
| 44.69 | 2.028 | 52 |
| 48.36 | 1.882 | 26 |
| 55.18 | 1.665 | 35 |

Atomic structure:
```
Na7V2O6
1.0
7.579 -2.914 0.000
7.579 2.914 0.000
-2.668 0.000 10.383
Na V O
14 4 12
direct
0.078 0.922 0.750
0.184 0.267 0.806
0.235 0.426 0.594
0.267 0.184 0.306
0.303 0.572 0.348
0.426 0.235 0.094
0.428 0.697 0.152
0.572 0.303 0.848
0.574 0.765 0.906
0.697 0.428 0.652
0.733 0.816 0.694
0.765 0.574 0.406
0.816 0.733 0.194
0.922 0.078 0.250
0.007 0.230 0.036
0.230 0.007 0.536
0.770 0.993 0.464
0.993 0.770 0.964
0.008 0.343 0.584
0.144 0.606 0.810
0.144 0.670 0.125
0.330 0.856 0.375
0.343 0.008 0.084
0.394 0.856 0.690
0.606 0.144 0.310
0.657 0.992 0.916
0.670 0.144 0.625
0.856 0.330 0.875
0.856 0.394 0.190
0.992 0.657 0.416
```